Entry 1:
Simulated XRD peak list
Compound: Tb5SnS5
Radiation: copper Kα
Structure: a cell relaxed with GGA-PBE
Peak positions follow from Bragg's law for the DFT cell and can differ from measured ones.

Crystal structure
```
data_Tb5SnS5
_cell_length_a 12.698
_cell_length_b 5.709
_cell_length_c 8.099
_cell_angle_alpha 90.00
_cell_angle_beta 108.39
_cell_angle_gamma 90.00
_space_group_name_H-M_alt 'C 1 2/m 1'
_space_group_IT_number 12
loop_
_space_group_symop_operation_xyz
'x,y,z'
'-x,-y,-z'
'-x,y,-z'
'x,-y,z'
'x+1/2,y+1/2,z'
'-x+1/2,-y+1/2,-z'
'-x+1/2,y+1/2,-z'
'x+1/2,-y+1/2,z'
loop_
_atom_site_label
_atom_site_fract_x
_atom_site_fract_y
_atom_site_fract_z
Tb1 0.000 0.000 0.000
Tb2 0.166 0.500 0.819
Tb3 0.170 0.500 0.347
Sn1 0.000 0.500 0.000
S1 0.000 0.500 0.500
S2 0.168 0.000 0.333
S3 0.174 0.000 0.843
```

Principal peaks in the range 5 to 70 degrees two-theta, in order of rising 2θ:
hkl 1 1 0, 17.19°, I = 21; hkl 1 1 -2, 26.99°, I = 30; hkl 3 1 0, 27.15°, I = 31; hkl 0 2 0, 31.32°, I = 100; hkl 4 0 -2, 31.43°, I = 50; hkl 2 0 -4, 44.76°, I = 17; hkl 4 2 -2, 44.93°, I = 72; hkl 6 0 0, 45.15°, I = 18; hkl 2 2 -4, 55.65°, I = 18; hkl 6 2 0, 55.99°, I = 19



Entry 2:
Simulated XRD peak list
Compound: SnTe2S5
Radiation: copper Kα
Structure: a cell relaxed with GGA-PBE
Peak positions follow from Bragg's law for the DFT cell and can differ from measured ones.

Crystal structure
```
data_SnTe2S5
_cell_length_a 12.467
_cell_length_b 7.131
_cell_length_c 6.891
_cell_angle_alpha 90.00
_cell_angle_beta 103.43
_cell_angle_gamma 90.00
_space_group_name_H-M_alt 'C 1 m 1'
_space_group_IT_number 8
loop_
_space_group_symop_operation_xyz
'x,y,z'
'x,-y,z'
'x+1/2,y+1/2,z'
'x+1/2,-y+1/2,z'
loop_
_atom_site_label
_atom_site_fract_x
_atom_site_fract_y
_atom_site_fract_z
Sn1 0.000 0.000 0.000
Te1 0.088 0.500 0.107
Te2 0.497 0.500 0.508
S1 0.130 0.237 0.903
S2 0.350 0.500 0.680
S3 0.447 0.257 0.248
```

Principal peaks in the range 5 to 70 degrees two-theta, in order of rising 2θ:
hkl 0 0 1, 13.21°, I = 24; hkl 1 1 0, 14.41°, I = 60; hkl 2 0 0, 14.61°, I = 100; hkl 2 0 1, 21.93°, I = 21; hkl 3 1 0, 25.33°, I = 29; hkl 2 2 0, 29.05°, I = 19; hkl 1 1 2, 31.89°, I = 22; hkl 0 2 2, 36.81°, I = 22; hkl 2 2 -2, 37.30°, I = 34; hkl 3 1 2, 40.78°, I = 19



Entry 3:
Simulated XRD peak list
Compound: TiTl2SnS4
Radiation: copper Kα
Structure: a cell relaxed with GGA-PBE
Peak positions follow from Bragg's law for the DFT cell and can differ from measured ones.

Crystal structure
```
data_TiTl2SnS4
_cell_length_a 9.402
_cell_length_b 8.433
_cell_length_c 6.129
_cell_angle_alpha 90.00
_cell_angle_beta 90.00
_cell_angle_gamma 90.00
_space_group_name_H-M_alt 'P m n 21'
_space_group_IT_number 31
loop_
_space_group_symop_operation_xyz
'x,y,z'
'-x+1/2,-y,z+1/2'
'-x,y,z'
'x+1/2,-y,z+1/2'
loop_
_atom_site_label
_atom_site_fract_x
_atom_site_fract_y
_atom_site_fract_z
Ti1 0.000 0.102 0.000
Tl1 0.222 0.345 0.430
Sn1 0.000 0.792 0.453
S1 0.000 0.090 0.376
S2 0.000 0.837 0.890
S3 0.195 0.245 0.919
```

Principal peaks in the range 5 to 70 degrees two-theta, in order of rising 2θ:
hkl 0 2 0, 21.07°, I = 32; hkl 2 1 0, 21.64°, I = 69; hkl 0 2 1, 25.64°, I = 74; hkl 2 1 1, 26.12°, I = 100; hkl 0 0 2, 29.14°, I = 68; hkl 3 1 0, 30.43°, I = 29; hkl 2 2 1, 32.04°, I = 47; hkl 2 1 2, 36.59°, I = 30; hkl 2 3 0, 37.27°, I = 40; hkl 2 3 2, 48.00°, I = 37



Entry 4:
Simulated XRD peak list
Compound: Tl5SnS5
Radiation: copper Kα
Structure: a cell relaxed with GGA-PBE
Peak positions follow from Bragg's law for the DFT cell and can differ from measured ones.

Crystal structure
```
data_Tl5SnS5
_cell_length_a 12.857
_cell_length_b 6.073
_cell_length_c 8.646
_cell_angle_alpha 90.00
_cell_angle_beta 109.91
_cell_angle_gamma 90.00
_space_group_name_H-M_alt 'C 1 2/m 1'
_space_group_IT_number 12
loop_
_space_group_symop_operation_xyz
'x,y,z'
'-x,-y,-z'
'-x,y,-z'
'x,-y,z'
'x+1/2,y+1/2,z'
'-x+1/2,-y+1/2,-z'
'-x+1/2,y+1/2,-z'
'x+1/2,-y+1/2,z'
loop_
_atom_site_label
_atom_site_fract_x
_atom_site_fract_y
_atom_site_fract_z
Tl1 0.000 0.000 0.000
Tl2 0.157 0.500 0.326
Tl3 0.180 0.500 0.824
Sn1 0.000 0.000 0.500
S1 0.000 0.500 0.500
S2 0.142 0.000 0.779
S3 0.158 0.000 0.373
```

Principal peaks in the range 5 to 70 degrees two-theta, in order of rising 2θ:
hkl 1 1 -2, 25.29°, I = 100; hkl 3 1 0, 26.55°, I = 85; hkl 0 2 0, 29.42°, I = 63; hkl 4 0 -2, 30.25°, I = 53; hkl 2 0 2, 30.39°, I = 54; hkl 2 0 -4, 41.79°, I = 21; hkl 4 2 -2, 42.70°, I = 42; hkl 2 2 2, 42.81°, I = 42; hkl 2 2 -4, 51.93°, I = 22; hkl 2 4 2, 69.67°, I = 20



Entry 5:
Simulated XRD peak list
Compound: Tl4SnS4
Radiation: copper Kα
Structure: a cell relaxed with GGA-PBE
Peak positions follow from Bragg's law for the DFT cell and can differ from measured ones.

Crystal structure
```
data_Tl4SnS4
_cell_length_a 8.504
_cell_length_b 8.416
_cell_length_c 15.892
_cell_angle_alpha 90.00
_cell_angle_beta 104.78
_cell_angle_gamma 90.00
_space_group_name_H-M_alt 'P 1 21/c 1'
_space_group_IT_number 14
loop_
_space_group_symop_operation_xyz
'x,y,z'
'-x,-y,-z'
'-x,y+1/2,-z+1/2'
'x,-y+1/2,z+1/2'
loop_
_atom_site_label
_atom_site_fract_x
_atom_site_fract_y
_atom_site_fract_z
Tl1 0.025 0.007 0.131
Tl2 0.186 0.101 0.624
Tl3 0.394 0.677 0.611
Tl4 0.400 0.713 0.361
Sn1 0.213 0.116 0.377
S1 0.057 0.675 0.214
S2 0.186 0.616 0.965
S3 0.306 0.150 0.964
S4 0.402 0.056 0.290
```

Principal peaks in the range 5 to 70 degrees two-theta, in order of rising 2θ:
hkl 0 0 4, 23.15°, I = 100; hkl 1 2 0, 23.76°, I = 73; hkl 2 1 0, 24.09°, I = 48; hkl 2 1 1, 26.07°, I = 28; hkl 2 1 -4, 29.46°, I = 41; hkl 1 2 -4, 31.36°, I = 37; hkl 3 1 -1, 33.43°, I = 34; hkl 1 3 -1, 33.77°, I = 37; hkl 3 1 0, 34.41°, I = 25; hkl 3 1 -4, 36.68°, I = 26



Entry 6:
Simulated XRD peak list
Compound: Tl14Sn2S9
Radiation: copper Kα
Structure: a cell relaxed with GGA-PBE
Peak positions follow from Bragg's law for the DFT cell and can differ from measured ones.

Crystal structure
```
data_Tl14Sn2S9
_cell_length_a 8.969
_cell_length_b 9.015
_cell_length_c 11.392
_cell_angle_alpha 74.69
_cell_angle_beta 74.15
_cell_angle_gamma 89.20
_space_group_name_H-M_alt 'P -1'
_space_group_IT_number 2
loop_
_space_group_symop_operation_xyz
'x,y,z'
'-x,-y,-z'
loop_
_atom_site_label
_atom_site_fract_x
_atom_site_fract_y
_atom_site_fract_z
Tl1 0.000 0.023 0.253
Tl2 0.020 0.338 0.913
Tl3 0.037 0.662 0.593
Tl4 0.332 0.356 0.583
Tl5 0.335 0.998 0.409
Tl6 0.336 0.315 0.078
Tl7 0.346 0.001 0.912
Sn1 0.329 0.646 0.248
S1 0.000 0.000 0.000
S2 0.032 0.683 0.330
S3 0.302 0.349 0.332
S4 0.318 0.651 0.023
S5 0.333 0.031 0.654
```

Principal peaks in the range 5 to 70 degrees two-theta, in order of rising 2θ:
hkl 2 -1 2, 26.29°, I = 97; hkl -1 2 2, 26.42°, I = 96; hkl 1 1 -2, 26.52°, I = 100; hkl 2 2 2, 28.43°, I = 77; hkl 0 3 0, 30.91°, I = 97; hkl 3 0 0, 31.16°, I = 91; hkl 1 1 4, 31.50°, I = 94; hkl 1 -2 4, 43.37°, I = 38; hkl -2 1 4, 43.71°, I = 39; hkl 1 4 4, 46.04°, I = 56



Entry 7:
Simulated XRD peak list
Compound: Tl2Sn2S5
Radiation: copper Kα
Structure: a cell relaxed with GGA-PBE
Peak positions follow from Bragg's law for the DFT cell and can differ from measured ones.

Crystal structure
```
data_Tl2Sn2S5
_cell_length_a 11.326
_cell_length_b 7.939
_cell_length_c 11.604
_cell_angle_alpha 90.00
_cell_angle_beta 108.27
_cell_angle_gamma 90.00
_space_group_name_H-M_alt 'C 1 2/c 1'
_space_group_IT_number 15
loop_
_space_group_symop_operation_xyz
'x,y,z'
'-x,-y,-z'
'-x,y,-z+1/2'
'x,-y,z+1/2'
'x+1/2,y+1/2,z'
'-x+1/2,-y+1/2,-z'
'-x+1/2,y+1/2,-z+1/2'
'x+1/2,-y+1/2,z+1/2'
loop_
_atom_site_label
_atom_site_fract_x
_atom_site_fract_y
_atom_site_fract_z
Tl1 0.219 0.179 0.317
Sn1 0.094 0.346 0.942
S1 0.000 0.183 0.750
S2 0.012 0.363 0.115
S3 0.196 0.054 0.038
```

Principal peaks in the range 5 to 70 degrees two-theta, in order of rising 2θ:
hkl 2 0 0, 16.48°, I = 29; hkl 0 2 1, 23.83°, I = 45; hkl 1 1 -3, 25.63°, I = 100; hkl 3 1 -1, 26.14°, I = 89; hkl 2 0 2, 26.54°, I = 43; hkl 2 2 1, 30.56°, I = 77; hkl 3 1 -3, 31.00°, I = 35; hkl 1 3 -2, 37.49°, I = 33; hkl 3 3 -2, 42.58°, I = 35; hkl 1 3 -4, 46.49°, I = 35



Entry 8:
Simulated XRD peak list
Compound: TlSn2S4
Radiation: copper Kα
Structure: a cell relaxed with GGA-PBE
Peak positions follow from Bragg's law for the DFT cell and can differ from measured ones.

Crystal structure
```
data_TlSn2S4
_cell_length_a 15.521
_cell_length_b 8.860
_cell_length_c 6.390
_cell_angle_alpha 90.00
_cell_angle_beta 90.00
_cell_angle_gamma 90.00
_space_group_name_H-M_alt 'P n m a'
_space_group_IT_number 62
loop_
_space_group_symop_operation_xyz
'x,y,z'
'-x,-y,-z'
'-x+1/2,-y,z+1/2'
'x+1/2,y,-z+1/2'
'x+1/2,-y+1/2,-z+1/2'
'-x+1/2,y+1/2,z+1/2'
'-x,y+1/2,-z'
'x,-y+1/2,z'
loop_
_atom_site_label
_atom_site_fract_x
_atom_site_fract_y
_atom_site_fract_z
Tl1 0.238 0.250 0.007
Sn1 0.000 0.000 0.500
Sn2 0.070 0.750 0.097
S1 0.065 0.750 0.719
S2 0.067 0.250 0.705
S3 0.137 0.527 0.237
```

Principal peaks in the range 5 to 70 degrees two-theta, in order of rising 2θ:
hkl 1 1 1, 18.04°, I = 62; hkl 0 2 0, 20.04°, I = 19; hkl 2 2 0, 23.12°, I = 22; hkl 3 1 1, 24.31°, I = 100; hkl 1 2 1, 25.11°, I = 63; hkl 4 0 2, 36.43°, I = 28; hkl 2 2 2, 36.56°, I = 47; hkl 3 3 1, 37.80°, I = 36; hkl 6 2 0, 40.38°, I = 37; hkl 0 4 0, 40.74°, I = 24



Entry 9:
Simulated XRD peak list
Compound: Tl2Sn3S6
Radiation: copper Kα
Structure: a cell relaxed with GGA-PBE
Peak positions follow from Bragg's law for the DFT cell and can differ from measured ones.

Crystal structure
```
data_Tl2Sn3S6
_cell_length_a 6.734
_cell_length_b 11.561
_cell_length_c 7.982
_cell_angle_alpha 90.00
_cell_angle_beta 106.72
_cell_angle_gamma 90.00
_space_group_name_H-M_alt 'C 1 2/m 1'
_space_group_IT_number 12
loop_
_space_group_symop_operation_xyz
'x,y,z'
'-x,-y,-z'
'-x,y,-z'
'x,-y,z'
'x+1/2,y+1/2,z'
'-x+1/2,-y+1/2,-z'
'-x+1/2,y+1/2,-z'
'x+1/2,-y+1/2,z'
loop_
_atom_site_label
_atom_site_fract_x
_atom_site_fract_y
_atom_site_fract_z
Tl1 0.000 0.171 0.000
Sn1 0.000 0.000 0.500
Sn2 0.000 0.332 0.500
S1 0.227 0.159 0.696
S2 0.247 0.000 0.301
```

Principal peaks in the range 5 to 70 degrees two-theta, in order of rising 2θ:
hkl 1 1 0, 15.73°, I = 22; hkl 0 2 1, 19.25°, I = 16; hkl 0 0 2, 23.27°, I = 38; hkl 1 3 -1, 27.73°, I = 66; hkl 2 0 -2, 30.70°, I = 48; hkl 1 3 1, 31.00°, I = 100; hkl 1 3 -3, 41.41°, I = 41; hkl 2 0 2, 41.50°, I = 22; hkl 3 3 -1, 46.84°, I = 31; hkl 2 6 -2, 57.34°, I = 16